Li2PuHfO6: simulated powder XRD pattern (Cu Kα), based on a crystal structure in Alexandria, relaxed with PBE.
Lines closer than 0.1° are merged.

Cell and atoms:
Cell lengths 5.873, 5.873, 4.114 Å; angles 90.00, 90.00, 90.00 degrees
Sites, in units of the cell vectors:
Li: 0.000 0.500 0.000
Li: 0.500 0.000 0.000
Pu: 0.000 0.000 0.831
Hf: 0.500 0.500 0.802
O: 0.000 0.000 0.333
O: 0.247 0.247 0.857
O: 0.247 0.753 0.857
O: 0.500 0.500 0.323
O: 0.753 0.247 0.857
O: 0.753 0.753 0.857

Largest 6 diffraction maxima, low angle first, 5° ≤ 2θ ≤ 70°:
two_theta, I_rel, (hkl)
21.4, 100, 1 1 0
21.6, 52, 0 0 1
30.4, 33, 2 0 0
30.6, 60, 1 1 1
49.1, 46, 2 2 1
54.2, 26, 3 1 1